Computed X-ray diffraction stick pattern of TlCrPdF6 for Cu Ka, from a cell relaxed with PBE+U.
No peak broadening, texture or thermal motion is included.

abc: 5.6229 9.6964 5.9190
angles: 90.00 90.28 90.00
Space group C2 (No. 5)
One atom of each set of equivalent atoms:
Tl 0.0000 0.0000 0.0000 x2
Cr 0.0000 0.6669 0.5000 x2
Pd 0.0000 0.3330 0.5000 x2
F 0.1327 0.5173 0.6840 x4
F 0.1597 0.8074 0.6842 x4
F 0.2125 0.1758 0.6851 x4

Principal peaks in the range 10 to 90 degrees two-theta, low angle first:
2θ 18.3, I = 11.7, hkl 1 1 0
2θ 23.7, I = 100.0, hkl 0 2 1
2θ 30.2, I = 8.4, hkl 0 0 2
2θ 31.8, I = 8.7, hkl 2 0 0
2θ 31.9, I = 17.7, hkl 1 3 0
2θ 40.2, I = 15.1, hkl 2 2 1
2θ 44.5, I = 12.2, hkl 2 0 2
2θ 44.6, I = 15.7, hkl 1 3 2
2θ 52.1, I = 9.8, hkl 1 5 -1
2θ 52.2, I = 8.9, hkl 1 5 1